This entry pairs a crystal structure of Li2ZrNb with its calculated powder X-ray diffraction pattern. Radiation: Cu Kα (weighted mean of Kα1 and Kα2). Structure: a crystal structure in OQMD, relaxed with PBE.

Structural model:
a b c (Å): 6.6919 6.6919 6.6919
angles (deg): 90.00 90.00 90.00
Space group F-43m (No. 216)
Symmetry-distinct sites (fractional):
Li  0.0000  0.0000  0.0000 [4 per cell]
Li  0.2500  0.2500  0.2500 [4 per cell]
Zr  0.2500  0.2500  0.7500 [4 per cell]
Nb  0.0000  0.0000  0.5000 [4 per cell]

The 9 most intense peaks (10° ≤ 2θ ≤ 90°), by angle:
2theta, I (rel.), index
23.02, 100, 1 1 1
38.03, 98, 2 2 0
44.93, 49, 3 1 1
54.88, 17, 4 0 0
60.29, 20, 3 3 1
68.72, 33, 4 2 2
73.54, 14, 5 1 1
81.34, 10, 4 4 0
85.93, 14, 5 3 1



This entry pairs a crystal structure of Pm3Fe with its calculated powder X-ray diffraction pattern. Radiation: Cu Kα (weighted mean of Kα1 and Kα2). Structure: a crystal structure in OQMD, relaxed with PBE.

Structural model:
a b c (Å): 6.9813 6.9813 5.1805
angles (deg): 90.00 90.00 120.00
Space group P6_3/mmc (No. 194)
Symmetry-distinct sites (fractional):
Pm  0.1780  0.3559  0.2500 [6 per cell]
Fe  0.3333  0.6667  0.7500 [2 per cell]

The 12 most intense peaks (10° ≤ 2θ ≤ 90°), by angle:
2theta, I (rel.), index
22.60, 15, 1 0 1
29.55, 25, 2 0 0
34.35, 100, 2 0 1
34.63, 23, 0 0 2
39.43, 5, 2 1 0
46.15, 15, 2 0 2
52.43, 18, 2 2 0
61.88, 18, 2 0 3
64.19, 15, 4 0 1
64.37, 20, 2 2 2
85.35, 7, 4 0 3
87.41, 11, 4 2 1